[1]
The following is a calculated powder XRD pattern of InSiAg2Se4. It was derived from DFT lattice parameters and positions (GGA-PBE), using Cu Ka.

Unit cell a=6.0500 b=6.0505 c=7.4361 alpha=66.03 beta=66.04 gamma=89.99
Atoms (fractional coordinates):
In  0.0000  0.0000  0.0000
Si  0.2505  0.7504  0.5000
Ag  0.5003  0.5000  0.0002
Ag  0.7505  0.2501  0.5001
Se  0.1480  0.0930  0.2793
Se  0.3727  0.8529  0.7206
Se  0.5734  0.6281  0.2796
Se  0.9080  0.4275  0.7206

Most intense lines, 5 to 70 degrees two-theta, by angle:
2theta, intensity
25.45, 1000
26.45, 49
33.94, 85
42.12, 462
42.25, 229
49.74, 135
49.97, 267
61.28, 65
67.26, 104
67.45, 51


[2]
The following is a calculated powder XRD pattern of Nd12SnGe5. It was derived from DFT lattice parameters and positions (GGA-PBE), using Cu Ka.

Unit cell a=8.8290 b=8.8290 c=8.8290 alpha=112.36 beta=110.55 gamma=105.57
Atoms (fractional coordinates):
Nd  0.0377  0.2354  0.8024
Nd  0.1813  0.2712  0.4525
Nd  0.1813  0.7288  0.9101
Nd  0.3230  0.0303  0.7073
Nd  0.3230  0.6157  0.2927
Nd  0.4330  0.2354  0.1976
Nd  0.5670  0.7646  0.8024
Nd  0.6770  0.3843  0.7073
Nd  0.6770  0.9697  0.2927
Nd  0.8187  0.2712  0.0899
Nd  0.8187  0.7288  0.5475
Nd  0.9623  0.7646  0.1976
Sn  0.5000  0.5000  0.0000
Ge  0.0000  0.0000  0.0000
Ge  0.1186  0.6186  0.5000
Ge  0.3695  0.0000  0.3695
Ge  0.6305  0.0000  0.6305
Ge  0.8814  0.3814  0.5000

Most intense lines, 5 to 70 degrees two-theta, by angle:
2theta, intensity
27.89, 165
28.66, 139
30.45, 1000
32.30, 511
32.83, 424
33.42, 363
33.57, 152
36.57, 305
55.72, 143
56.98, 211


[3]
The following is a calculated powder XRD pattern of Er2Al2GaPt5. It was derived from DFT lattice parameters and positions (GGA-PBE), using Cu Ka.

Unit cell a=9.8011 b=9.8011 c=3.6475 alpha=90.00 beta=90.00 gamma=90.00
Atoms (fractional coordinates):
Er  0.1765  0.3235  0.0000
Er  0.3235  0.8235  0.0000
Er  0.6765  0.1765  0.0000
Er  0.8235  0.6765  0.0000
Al  0.1227  0.6227  0.0000
Al  0.3773  0.1227  0.0000
Al  0.6227  0.8773  0.0000
Al  0.8773  0.3773  0.0000
Ga  0.0000  0.0000  0.0000
Ga  0.5000  0.5000  0.0000
Pt  0.0000  0.5000  0.5000
Pt  0.0638  0.7947  0.5000
Pt  0.2053  0.0638  0.5000
Pt  0.2947  0.5638  0.5000
Pt  0.4362  0.2947  0.5000
Pt  0.5000  0.0000  0.5000
Pt  0.5638  0.7053  0.5000
Pt  0.7053  0.4362  0.5000
Pt  0.7947  0.9362  0.5000
Pt  0.9362  0.2053  0.5000

Most intense lines, 5 to 70 degrees two-theta, by angle:
2theta, intensity
24.40, 221
31.92, 538
35.74, 280
37.85, 727
38.10, 1000
38.99, 240
41.19, 182
41.43, 388
50.01, 265
64.39, 312


Question: What is the formula in the third record?
Answer: Er2Al2GaPt5